Pm2Sm7Y: theoretical PXRD pattern (a wavelength of 1.5418 Å), based on a DFT-relaxed cell (PBE, Alexandria).
Neutral-atom scattering factors, no anomalous dispersion.

Structural model:
```
data_Pm2Sm7Y
_symmetry_space_group_name_H-M 'P -1'
_symmetry_Int_Tables_number 2
_symmetry_space_group_name_Hall '-P 1'
_cell_length_a 6.282
_cell_length_b 6.288
_cell_length_c 9.599
_cell_angle_alpha 102.54
_cell_angle_beta 109.08
_cell_angle_gamma 99.61
loop_
_atom_site_label
_atom_site_type_symbol
_atom_site_fract_x
_atom_site_fract_y
_atom_site_fract_z
_atom_site_occupancy
Pm1 Pm 0.200 0.499 0.400 1
Sm1 Sm 0.000 0.000 0.500 1
Sm2 Sm 0.200 0.000 0.900 1
Sm3 Sm 0.400 0.000 0.299 1
Sm4 Sm 0.401 0.500 0.801 1
Y1 Y 0.000 0.500 0.000 1
```

Most intense lines, 10 to 90 degrees two-theta, sorted by position:
- 2θ = 30.16°, d 2.963, rel. 100, (1 0 2)
- 2θ = 34.97°, d 2.566, rel. 51, (2 1 -1)
- 2θ = 50.28°, d 1.815, rel. 36, (1 2 2)
- 2θ = 59.76°, d 1.548, rel. 39, (3 1 1)
- 2θ = 59.81°, d 1.546, rel. 4, (3 2 -4)
- 2θ = 62.71°, d 1.482, rel. 12, (2 0 4)
- 2θ = 73.88°, d 1.283, rel. 4, (4 2 -2)
- 2θ = 81.77°, d 1.178, rel. 10, (2 2 4)
- 2θ = 81.85°, d 1.177, rel. 7, (5 -2 0)
- 2θ = 84.42°, d 1.147, rel. 12, (5 0 0)